(1)
The following is a theoretical powder X-ray diffraction pattern of RbSb4Au2. It was derived from a GGA-PBE-relaxed structure, using Cu Kα.

Structure:
```
data_RbSb4Au2
_chemical_formula_sum 'Rb2 Sb8 Au4'
_symmetry_space_group_name_H-M 'P 42/m n m'
_symmetry_Int_Tables_number 136
_symmetry_space_group_name_Hall '-P 4n 2n'
_cell_length_a 9.238
_cell_length_b 9.238
_cell_length_c 4.602
_cell_angle_alpha 90.00
_cell_angle_beta 90.00
_cell_angle_gamma 90.00
loop_
_atom_site_label
_atom_site_type_symbol
_atom_site_fract_x
_atom_site_fract_y
_atom_site_fract_z
Rb1 Rb 0.000 0.000 0.000
Sb1 Sb 0.086 0.320 0.500
Au1 Au 0.221 0.779 0.500
```

Peak list (10 most intense, 2θ = 10–80°, sorted by position)
(2 0 0), d 4.619, intensity 46; (2 1 1), d 3.074, intensity 76; (3 1 0), d 2.921, intensity 19; (2 2 1), d 2.663, intensity 33; (3 1 1), d 2.466, intensity 100; (0 0 2), d 2.301, intensity 35; (4 1 0), d 2.240, intensity 60; (4 3 1), d 1.715, intensity 24; (4 1 2), d 1.606, intensity 43; (7 0 1), d 1.268, intensity 21

(2)
The following is a theoretical powder X-ray diffraction pattern of RbSbAuSe2. It was derived from a GGA-PBE-relaxed structure, using Cu Kα.

Structure:
```
data_RbSbAuSe2
_chemical_formula_sum 'Rb4 Sb4 Au4 Se8'
_symmetry_space_group_name_H-M 'C m m e'
_symmetry_Int_Tables_number 67
_symmetry_space_group_name_Hall '-C 2a 2'
_cell_length_a 6.342
_cell_length_b 15.563
_cell_length_c 6.014
_cell_angle_alpha 90.00
_cell_angle_beta 90.00
_cell_angle_gamma 90.00
loop_
_atom_site_label
_atom_site_type_symbol
_atom_site_fract_x
_atom_site_fract_y
_atom_site_fract_z
Rb1 Rb 0.000 0.250 0.244
Sb1 Sb 0.250 0.000 0.000
Au1 Au 0.000 0.000 0.500
Se1 Se 0.000 0.132 0.737
```

Peak list (10 most intense, 2θ = 10–80°, sorted by position)
(0 2 0), d 7.781, intensity 90; (0 4 0), d 3.891, intensity 25; (1 3 1), d 3.339, intensity 38; (2 0 0), d 3.171, intensity 26; (0 2 2), d 2.805, intensity 100; (2 2 1), d 2.639, intensity 62; (1 5 1), d 2.534, intensity 26; (0 4 2), d 2.379, intensity 35; (2 4 1), d 2.275, intensity 36; (2 6 1), d 1.904, intensity 29